Calculated PXRD pattern of Ba4Tc2N5 for copper Kα, from a DFT-relaxed cell (GGA-PBE, Alexandria).

Peak list (12 most intense, 2θ from 10° to 90°, sorted by position)
| 2θ (°) | I (rel.) | index |
| --- | --- | --- |
| 22.82 | 16.9 | 2 0 1 |
| 24.00 | 16.2 | 0 0 2 |
| 27.21 | 19.9 | 1 1 -2 |
| 27.69 | 55.4 | 0 2 0 |
| 28.62 | 100.0 | 3 1 -1 |
| 30.73 | 50.3 | 1 1 2 |
| 33.56 | 19.0 | 3 1 1 |
| 36.07 | 16.8 | 2 0 -3 |
| 36.18 | 17.5 | 2 2 1 |
| 46.07 | 16.7 | 2 2 -3 |
| 49.56 | 20.7 | 3 3 -1 |
| 51.20 | 15.8 | 5 1 -3 |

Crystal structure
a b c (Å): 11.0016 6.4422 7.6544
angles (deg): 90.00 104.31 90.00
Space group Cm (No. 8)
Unique sites:
Ba (0.0000, 0.0000, 0.0000) x2
Ba (0.1009, 0.5000, 0.7053) x2
Ba (0.2403, 0.0000, 0.7188) x2
Ba (0.3713, 0.0000, 0.2590) x2
Tc (0.2314, 0.5000, 0.1500) x2
Tc (0.3752, 0.5000, 0.5271) x2
N (0.2045, 0.2613, 0.0175) x4
N (0.4030, 0.5000, 0.2883) x2
N (0.4079, 0.2610, 0.6553) x4

***

Calculated PXRD pattern of Ce2PaSb3 for copper Kα, from a DFT-relaxed cell (GGA-PBE, Alexandria).

Peak list (12 most intense, 2θ from 10° to 90°, sorted by position)
| 2θ (°) | I (rel.) | index |
| --- | --- | --- |
| 20.51 | 3.0 | 1 0 1 |
| 24.50 | 4.9 | 1 0 3 |
| 28.36 | 100.0 | 1 1 0 |
| 29.94 | 1.2 | 1 1 2 |
| 40.54 | 76.7 | 2 0 0 |
| 47.94 | 2.7 | 1 0 9 |
| 50.22 | 27.5 | 2 0 6 |
| 58.68 | 12.9 | 2 2 0 |
| 64.54 | 1.2 | 2 1 9 |
| 66.43 | 35.4 | 3 1 0 |
| 73.75 | 26.2 | 3 1 6 |
| 87.72 | 8.6 | 4 0 0 |

Crystal structure
a b c (Å): 4.4482 4.4482 18.8988
angles (deg): 90.00 90.00 90.00
Space group I4/mmm (No. 139)
Unique sites:
Ce (0.0000, 0.0000, 0.1675) x4
Pa (0.0000, 0.0000, 0.5000) x2
Sb (0.0000, 0.0000, 0.0000) x2
Sb (0.0000, 0.0000, 0.3358) x4

***

Calculated PXRD pattern of Cs3Tm3InTe8 for copper Kα, from a DFT-relaxed cell (GGA-PBE, Alexandria).

Peak list (12 most intense, 2θ from 10° to 90°, sorted by position)
| 2θ (°) | I (rel.) | index |
| --- | --- | --- |
| 26.78 | 100.0 | 4 0 0 |
| 32.71 | 17.7 | 4 0 1 |
| 35.10 | 31.7 | 4 0 -4 |
| 40.34 | 5.5 | 4 0 2 |
| 41.16 | 36.1 | 0 4 0 |
| 43.15 | 11.7 | 2 2 3 |
| 49.70 | 6.1 | 8 0 -4 |
| 49.84 | 12.0 | 4 4 0 |
| 52.20 | 7.3 | 2 2 4 |
| 55.18 | 8.6 | 4 4 -4 |
| 66.48 | 10.1 | 8 4 -4 |
| 75.61 | 5.9 | 6 2 4 |

Crystal structure
a b c (Å): 15.2153 8.7587 10.5271
angles (deg): 90.00 118.88 90.00
Space group C2/m (No. 12)
Unique sites:
Cs (0.0000, 0.0000, 0.0000) x2
Cs (0.2500, 0.2500, 0.0000) x4
Tm (0.0000, 0.5000, 0.5000) x2
Tm (0.2500, 0.2500, 0.5000) x4
In (0.0000, 0.0000, 0.5000) x2
Te (0.0217, 0.2519, 0.3132) x8
Te (0.2299, 0.0000, 0.6865) x4
Te (0.2297, 0.5000, 0.6890) x4

***

Calculated PXRD pattern of Ti2NbB4 for copper Kα, from a DFT-relaxed cell (GGA-PBE, Alexandria).

Peak list (12 most intense, 2θ from 10° to 90°, sorted by position)
| 2θ (°) | I (rel.) | index |
| --- | --- | --- |
| 12.77 | 24.5 | 0 0 2 |
| 25.70 | 18.0 | 0 0 4 |
| 27.84 | 58.5 | 0 1 1 |
| 35.06 | 78.4 | 1 0 3 |
| 38.98 | 26.0 | 0 0 6 |
| 42.28 | 100.0 | 1 1 2 |
| 42.62 | 62.6 | 0 1 5 |
| 48.27 | 27.2 | 1 1 4 |
| 55.17 | 17.7 | 1 0 7 |
| 67.63 | 34.7 | 1 2 3 |
| 68.36 | 19.6 | 1 1 8 |
| 76.55 | 19.8 | 2 1 5 |

Crystal structure
a b c (Å): 3.0738 3.2937 13.8641
angles (deg): 90.00 90.00 90.00
Space group Immm (No. 71)
Unique sites:
Ti (0.0000, 0.0000, 0.1868) x4
Nb (0.0000, 0.5000, 0.5000) x2
B (0.0000, 0.0000, 0.3657) x4
B (0.0000, 0.5000, 0.0668) x4